Computed powder XRD pattern
Compound: Li3V3B2O10
Radiation: copper Kα
Structure: a DFT-relaxed cell (GGA+U, the Materials Project)

Largest 10 diffraction maxima, low angle first, 10 to 90 degrees two-theta:
| 2θ (°) | Rel. int. |
| --- | --- |
| 12.0 | 71 |
| 14.4 | 86 |
| 17.4 | 100 |
| 20.5 | 49 |
| 23.8 | 46 |
| 24.1 | 71 |
| 35.1 | 70 |
| 35.2 | 86 |
| 35.5 | 81 |
| 44.3 | 41 |

```
Li3V3B2O10
1.0
3.0340 0.0000 0.0000
0.0673 9.2623 0.0000
0.0179 0.0325 12.2635
Li V B O
6 6 4 20
direct
0.0000 0.0000 0.0000 Li
0.9996 0.2575 0.9018 Li
0.5005 0.2652 0.4055 Li
0.5007 0.7908 0.8957 Li
0.5018 0.7575 0.6132 Li
0.9993 0.7553 0.4109 Li
0.0151 0.0144 0.5165 V
0.4975 0.2652 0.6858 V
0.4994 0.2585 0.1125 V
0.5003 0.7769 0.1830 V
0.9773 0.5334 0.7908 V
0.9993 0.5033 0.2938 V
0.0008 0.4981 0.5371 B
0.0025 0.5417 0.0402 B
0.9983 0.0471 0.2671 B
0.9995 0.9913 0.7590 B
0.0006 0.1326 0.1721 O
0.0014 0.6242 0.1388 O
0.0007 0.9205 0.8536 O
0.0048 0.6409 0.5433 O
0.0128 0.6077 0.9426 O
0.4893 0.3895 0.8218 O
0.4921 0.9009 0.4748 O
0.4995 0.3747 0.2433 O
0.5004 0.6510 0.3146 O
0.5000 0.8580 0.0593 O
0.5007 0.1637 0.9906 O
0.5045 0.1524 0.5526 O
0.5215 0.6459 0.7572 O
0.9971 0.1098 0.3655 O
0.9974 0.1479 0.7548 O
0.9967 0.4141 0.6395 O
0.9965 0.9229 0.6579 O
0.9983 0.3912 0.0528 O
0.9981 0.4153 0.4419 O
0.9985 0.8942 0.2521 O
```

***

Computed powder XRD pattern
Compound: Li7V5O12
Radiation: copper Kα
Structure: a DFT-relaxed cell (GGA+U, the Materials Project)

Largest 10 diffraction maxima, low angle first, 10 to 90 degrees two-theta:
| 2θ (°) | Rel. int. |
| --- | --- |
| 18.2 | 100 |
| 20.3 | 8 |
| 35.2 | 27 |
| 35.9 | 12 |
| 42.7 | 69 |
| 43.7 | 31 |
| 61.9 | 9 |
| 62.1 | 9 |
| 62.6 | 17 |
| 63.0 | 17 |

```
Li7V5O12
1.0
5.0888 0.0000 0.0000
2.5405 4.4965 0.0000
1.8728 -0.0114 9.7277
Li V O
7 5 12
direct
0.0000 0.0000 0.0000 Li
0.0910 0.3150 0.7546 Li
0.2545 0.9870 0.2478 Li
0.4012 0.6741 0.7527 Li
0.5988 0.3259 0.2473 Li
0.7455 0.0130 0.7522 Li
0.9090 0.6850 0.2454 Li
0.1668 0.6662 0.4998 V
0.3398 0.3196 0.0018 V
0.5000 0.0000 0.5000 V
0.6602 0.6804 0.9982 V
0.8332 0.3338 0.5002 V
0.0212 0.6515 0.8878 O
0.1234 0.9994 0.6188 O
0.2095 0.3326 0.3853 O
0.3279 0.6518 0.1114 O
0.3895 0.0064 0.8871 O
0.4587 0.3330 0.6166 O
0.5413 0.6670 0.3834 O
0.6105 0.9936 0.1129 O
0.6721 0.3482 0.8886 O
0.7905 0.6674 0.6147 O
0.8766 0.0006 0.3812 O
0.9788 0.3485 0.1122 O
```

***

Computed powder XRD pattern
Compound: Mg3Cr2Si4O14
Radiation: copper Kα
Structure: a DFT-relaxed cell (GGA+U, the Materials Project)

Largest 10 diffraction maxima, low angle first, 10 to 90 degrees two-theta:
| 2θ (°) | Rel. int. |
| --- | --- |
| 12.7 | 60 |
| 19.8 | 40 |
| 22.5 | 38 |
| 28.6 | 83 |
| 29.5 | 99 |
| 30.0 | 45 |
| 31.6 | 61 |
| 32.3 | 61 |
| 39.3 | 100 |
| 40.6 | 51 |

```
Mg3Cr2Si4O14
1.0
8.3628 -3.7930 0.0000
8.3628 3.7930 0.0000
-5.4545 0.0000 8.1282
Mg Cr Si O
6 4 8 28
direct
0.1209 0.8791 0.7500 Mg
0.2346 0.4014 0.5850 Mg
0.4014 0.2346 0.0850 Mg
0.5986 0.7654 0.9150 Mg
0.7654 0.5986 0.4150 Mg
0.8791 0.1209 0.2500 Mg
0.2889 0.7111 0.2500 Cr
0.5000 0.5000 0.0000 Cr
0.5000 0.5000 0.5000 Cr
0.7111 0.2889 0.7500 Cr
0.0255 0.7291 0.8976 Si
0.0325 0.6069 0.2923 Si
0.2709 0.9745 0.6024 Si
0.3931 0.9675 0.2077 Si
0.6069 0.0325 0.7923 Si
0.7291 0.0255 0.3976 Si
0.9675 0.3931 0.7077 Si
0.9745 0.2709 0.1024 Si
0.0085 0.5926 0.4376 O
0.0138 0.4337 0.1223 O
0.0272 0.8702 0.0845 O
0.1298 0.9728 0.4155 O
0.1497 0.1717 0.7444 O
0.1717 0.1497 0.2444 O
0.2105 0.6422 0.8292 O
0.2444 0.5689 0.3203 O
0.3578 0.7895 0.6708 O
0.3751 0.4609 0.0772 O
0.4074 0.9915 0.0624 O
0.4311 0.7556 0.1797 O
0.4337 0.0138 0.6223 O
0.4609 0.3751 0.5772 O
0.5391 0.6249 0.4228 O
0.5663 0.9862 0.3777 O
0.5689 0.2444 0.8203 O
0.5926 0.0085 0.9376 O
0.6249 0.5391 0.9228 O
0.6422 0.2105 0.3292 O
0.7556 0.4311 0.6797 O
0.7895 0.3578 0.1708 O
0.8283 0.8503 0.7556 O
0.8503 0.8283 0.2556 O
0.8702 0.0272 0.5845 O
0.9728 0.1298 0.9155 O
0.9862 0.5663 0.8777 O
0.9915 0.4074 0.5624 O
```

***

Computed powder XRD pattern
Compound: RbFeMo2O8
Radiation: copper Kα
Structure: a DFT-relaxed cell (GGA+U, the Materials Project)

Largest 10 diffraction maxima, low angle first, 10 to 90 degrees two-theta:
| 2θ (°) | Rel. int. |
| --- | --- |
| 21.0 | 100 |
| 28.8 | 57 |
| 30.9 | 54 |
| 42.8 | 22 |
| 49.5 | 19 |
| 53.7 | 20 |
| 55.0 | 10 |
| 56.5 | 16 |
| 64.4 | 10 |
| 72.0 | 8 |

```
RbFeMo2O8
1.0
5.7884 0.0000 0.0000
-2.8942 5.0129 0.0000
0.0000 0.0000 7.8773
Rb Fe Mo O
1 1 2 8
direct
0.0000 0.0000 0.0000 Rb
0.0000 0.0000 0.5000 Fe
0.3333 0.6667 0.7209 Mo
0.6667 0.3333 0.2791 Mo
0.1614 0.3229 0.6514 O
0.1614 0.8386 0.6514 O
0.3229 0.1614 0.3486 O
0.3333 0.6667 0.9432 O
0.6667 0.3333 0.0568 O
0.6771 0.8386 0.6514 O
0.8386 0.1614 0.3486 O
0.8386 0.6771 0.3486 O
```

***

Computed powder XRD pattern
Compound: Ba2CeVO6
Radiation: copper Kα
Structure: a DFT-relaxed cell (GGA+U, the Materials Project)

Largest 10 diffraction maxima, low angle first, 10 to 90 degrees two-theta:
| 2θ (°) | Rel. int. |
| --- | --- |
| 18.2 | 7 |
| 29.9 | 100 |
| 35.2 | 6 |
| 36.9 | 6 |
| 42.8 | 31 |
| 53.1 | 40 |
| 62.2 | 19 |
| 70.5 | 18 |
| 78.4 | 6 |
| 86.2 | 21 |

```
Ba2CeVO6
1.0
0.0000 4.2234 4.2234
4.2234 0.0000 4.2234
4.2234 4.2234 0.0000
Ba Ce V O
2 1 1 6
direct
0.2500 0.2500 0.2500 Ba
0.7500 0.7500 0.7500 Ba
0.0000 0.0000 0.0000 Ce
0.5000 0.5000 0.5000 V
0.2666 0.2666 0.7334 O
0.2666 0.7334 0.2666 O
0.2666 0.7334 0.7334 O
0.7334 0.2666 0.2666 O
0.7334 0.2666 0.7334 O
0.7334 0.7334 0.2666 O
```

***

Computed powder XRD pattern
Compound: AlReW2O8
Radiation: copper Kα
Structure: a DFT-relaxed cell (GGA+U, the Materials Project)

Largest 10 diffraction maxima, low angle first, 10 to 90 degrees two-theta:
| 2θ (°) | Rel. int. |
| --- | --- |
| 17.7 | 100 |
| 28.6 | 78 |
| 29.0 | 67 |
| 30.2 | 62 |
| 31.2 | 54 |
| 31.6 | 26 |
| 31.7 | 38 |
| 35.8 | 64 |
| 38.6 | 39 |
| 49.0 | 51 |

```
AlReW2O8
1.0
5.0329 0.0000 0.0000
-0.0762 5.6453 0.0000
-2.0348 -2.6378 5.0246
Al Re W O
1 1 2 8
direct
0.0000 0.0000 0.0000 Al
0.4547 0.5444 0.9638 Re
0.2118 0.7309 0.4742 W
0.6943 0.3653 0.4567 W
0.1252 0.5063 0.6529 O
0.1589 0.0087 0.7577 O
0.2256 0.8065 0.1703 O
0.2649 0.3385 0.2454 O
0.6451 0.3060 0.7332 O
0.6535 0.7574 0.6876 O
0.7650 0.0760 0.1874 O
0.7889 0.5871 0.2755 O
```